Record 1
This entry pairs a crystal structure of Y10Tm4Sc with its computed powder diffraction line list. Radiation: Cu Kα X-rays. Structure: a cell relaxed with GGA-PBE.
Lines closer than 0.1° are merged.

Crystal structure
a b c (Å): 11.3872 11.3872 7.4658
angles (deg): 90.00 90.00 90.00
Space group I4/mmm (No. 139)
One atom of each set of equivalent atoms:
Y1 0.0000 0.2104 0.2227
Y2 0.0000 0.5000 0.2500
Tm1 0.2365 0.2365 0.5000
Sc1 0.0000 0.0000 0.5000

Largest 6 diffraction maxima, in order of rising 2θ, 2θ from 10° to 90°:
15.56°, d 5.694, I = 35
28.59°, d 3.122, I = 80
31.42°, d 2.847, I = 90
32.72°, d 2.737, I = 100
41.44°, d 2.179, I = 25
43.00°, d 2.104, I = 32

---

Record 2
This entry pairs a crystal structure of K8Rb3Hg3 with its computed powder diffraction line list. Radiation: Cu Kα X-rays. Structure: a cell relaxed with GGA-PBE.
Lines closer than 0.1° are merged.

Crystal structure
a b c (Å): 23.0823 6.5830 12.0967
angles (deg): 90.00 115.15 90.00
Space group C2/m (No. 12)
One atom of each set of equivalent atoms:
K1 0.0172 0.0000 0.3420
K2 0.1309 0.5000 0.7988
K3 0.1377 0.5000 0.4289
K4 0.1439 0.0000 0.0586
Rb1 0.0000 0.5000 0.0000
Rb2 0.2280 0.0000 0.7108
Hg1 0.0000 0.5000 0.5000
Hg2 0.1927 0.0000 0.3753

Largest 6 diffraction maxima, in order of rising 2θ, 2θ from 10° to 90°:
15.37°, d 5.765, I = 61
18.55°, d 4.784, I = 100
21.28°, d 4.175, I = 56
26.64°, d 3.347, I = 75
27.09°, d 3.291, I = 92
28.15°, d 3.170, I = 70

---

Please write out number 2 again, unchanged.
This entry pairs a crystal structure of K8Rb3Hg3 with its computed powder diffraction line list. Radiation: Cu Kα X-rays. Structure: a cell relaxed with GGA-PBE.
Lines closer than 0.1° are merged.

Crystal structure
a b c (Å): 23.0823 6.5830 12.0967
angles (deg): 90.00 115.15 90.00
Space group C2/m (No. 12)
One atom of each set of equivalent atoms:
K1 0.0172 0.0000 0.3420
K2 0.1309 0.5000 0.7988
K3 0.1377 0.5000 0.4289
K4 0.1439 0.0000 0.0586
Rb1 0.0000 0.5000 0.0000
Rb2 0.2280 0.0000 0.7108
Hg1 0.0000 0.5000 0.5000
Hg2 0.1927 0.0000 0.3753

Largest 6 diffraction maxima, in order of rising 2θ, 2θ from 10° to 90°:
15.37°, d 5.765, I = 61
18.55°, d 4.784, I = 100
21.28°, d 4.175, I = 56
26.64°, d 3.347, I = 75
27.09°, d 3.291, I = 92
28.15°, d 3.170, I = 70

---

- Number 2 is which compound?
  K8Rb3Hg3